The following is a calculated powder XRD pattern of PmTmV2O8. It was derived from a cell relaxed with PBE+U, using CuKα.
Kinematic intensities with the Lorentz-polarization factor, no thermal factor.

Cell and atoms:
```
12
Lattice="-3.6290 3.6290 3.1896 3.6290 -3.6290 3.1896 3.6290 3.6290 -3.1896" Properties=species:S:1:pos:R:3 pbc="T T T"
Pm 0.0000 0.0000 0.0000
Tm 0.0000 3.6290 1.5948
V 3.6290 0.0000 1.5948
V 0.0000 0.0000 3.1896
O 2.3221 0.0000 0.4505
O 4.9360 0.0000 0.4505
O 3.6290 2.2686 -1.0906
O 3.6290 -1.3069 2.7391
O 0.0000 1.3604 2.0989
O 3.6290 1.3069 2.7391
O 2.2686 3.6290 1.0906
O 1.3604 0.0000 4.2802
```

Most intense lines, 2θ from 5° to 70°, by intensity:
24.53°, I 100
33.07°, I 70
48.89°, I 59
18.52°, I 41
34.97°, I 22
61.51°, I 17
50.28°, I 16
39.85°, I 15
30.91°, I 14
56.72°, I 14